# 1
HoPu2CrC4: computed powder diffractogram (Cu Kα, 1.54184 Å), based on a structure optimized by DFT (PBE).
Intensities are scaled so that the largest is 1000.

Peak list (6 most intense, 10 to 90 degrees two-theta, by intensity)
| h k l | 2θ (°) | Rel. int. |
| --- | --- | --- |
| 1 1 2 | 30.71 | 1000 |
| 0 2 3 | 27.37 | 791 |
| 1 3 2 | 38.37 | 693 |
| 0 4 0 | 31.95 | 521 |
| 1 1 5 | 46.62 | 342 |
| 0 0 4 | 29.74 | 308 |

Structural model:
Cell lengths 3.485, 11.205, 12.016 Å; angles 90.00, 90.00, 90.00 degrees
Space group Cmcm (No. 63)
Symmetry-distinct sites (fractional):
1 Ho 0.000 0.108 0.250 x4
2 Pu 0.000 0.369 0.044 x8
3 Cr 0.000 0.163 0.750 x4
4 C 0.000 0.000 0.000 x4
5 C 0.000 0.265 0.631 x8
6 C 0.000 0.422 0.250 x4

***

# 2
SmHo2Cr2C4: computed powder diffractogram (Cu Kα, 1.54184 Å), based on a structure optimized by DFT (PBE).
Intensities are scaled so that the largest is 1000.

Peak list (6 most intense, 10 to 90 degrees two-theta, by intensity)
| h k l | 2θ (°) | Rel. int. |
| --- | --- | --- |
| 3 1 -1 | 34.14 | 1000 |
| 3 1 1 | 41.21 | 900 |
| 1 1 0 | 27.04 | 782 |
| 4 0 -1 | 27.50 | 782 |
| 0 0 2 | 32.05 | 685 |
| 1 1 -2 | 40.24 | 660 |

Structural model:
Cell lengths 13.234, 3.422, 5.996 Å; angles 90.00, 111.33, 90.00 degrees
Space group C2/m (No. 12)
Symmetry-distinct sites (fractional):
1 Sm 0.000 0.000 0.000 x2
2 Ho 0.135 0.000 0.546 x4
3 Cr 0.180 0.500 0.985 x4
4 C 0.044 0.500 0.741 x4
5 C 0.218 0.000 0.187 x4

***

# 3
Ta2CrIrC: computed powder diffractogram (Cu Kα, 1.54184 Å), based on a structure optimized by DFT (PBE).
Intensities are scaled so that the largest is 1000.

Peak list (6 most intense, 10 to 90 degrees two-theta, by intensity)
| h k l | 2θ (°) | Rel. int. |
| --- | --- | --- |
| 1 1 1 | 37.98 | 1000 |
| 2 0 0 | 42.07 | 402 |
| 3 1 1 | 74.16 | 285 |
| 2 0 2 | 65.76 | 213 |
| 0 0 2 | 48.07 | 137 |
| 2 2 0 | 61.01 | 133 |

Structural model:
Cell lengths 4.296, 4.296, 3.785 Å; angles 90.00, 90.00, 90.00 degrees
Space group P4/mmm (No. 123)
Symmetry-distinct sites (fractional):
1 Ta 0.000 0.500 0.000 x2
2 Cr 0.000 0.000 0.500 x1
3 Ir 0.500 0.500 0.500 x1
4 C 0.000 0.000 0.000 x1